# 1
Diffraction record for Y5CSe4. The powder diffractogram is computed, not measured: it uses DFT lattice parameters and positions (GGA-PBE) and CuKα.
Lines closer than 0.1° are merged.

The 12 most intense peaks (2θ from 10° to 90°), low angle first:
2θ 27.2, I = 13, hkl 2 1 1
2θ 31.5, I = 100, hkl 3 1 0
2θ 31.6, I = 54, hkl 0 0 2
2θ 33.9, I = 10, hkl 3 0 1
2θ 39.5, I = 16, hkl 2 3 1
2θ 45.1, I = 28, hkl 2 4 0
2θ 45.2, I = 71, hkl 3 1 2
2θ 56.1, I = 29, hkl 2 4 2
2θ 65.3, I = 9, hkl 6 1 1
2θ 74.7, I = 17, hkl 6 2 2
2θ 75.0, I = 15, hkl 3 1 4
2θ 83.3, I = 11, hkl 1 7 2

Crystal structure
Unit cell a=8.9886 b=8.9886 c=5.6588 alpha=90.00 beta=90.00 gamma=90.00
Space group I4 (No. 79)
Inequivalent atoms, fractional coordinates:
1 Y 0.0000 0.0000 0.9995
2 Y 0.0909 0.7403 0.5000
3 C 0.0000 0.0000 0.5004
4 Se 0.0916 0.6938 0.0000

# 2
Diffraction record for YPuIn2O8. The powder diffractogram is computed, not measured: it uses DFT lattice parameters and positions (GGA-PBE) and CuKα.
Lines closer than 0.1° are merged.

The 12 most intense peaks (2θ from 10° to 90°), low angle first:
2θ 13.1, I = 16, hkl 0 0 1
2θ 22.0, I = 23, hkl 1 1 1
2θ 24.7, I = 62, hkl 0 2 0
2θ 25.2, I = 58, hkl 2 0 0
2θ 31.9, I = 100, hkl 1 1 2
2θ 35.6, I = 30, hkl 2 2 0
2θ 48.3, I = 42, hkl 1 3 2
2θ 48.8, I = 40, hkl 3 1 2
2θ 57.5, I = 10, hkl 2 4 0
2θ 60.5, I = 10, hkl 0 2 4
2θ 61.6, I = 24, hkl 3 3 2
2θ 66.6, I = 11, hkl 2 2 4

Crystal structure
Unit cell a=7.0652 b=7.1999 c=6.7590 alpha=90.00 beta=90.00 gamma=90.00
Space group Cmmm (No. 65)
Inequivalent atoms, fractional coordinates:
1 Y 0.0000 0.0000 0.0000
2 Pu 0.0000 0.0000 0.5000
3 In 0.0000 0.5000 0.2450
4 O 0.0000 0.1844 0.2806
5 O 0.1906 0.5000 0.0000
6 O 0.2027 0.5000 0.5000

# 3
Diffraction record for Dy3Sb2Rh6. The powder diffractogram is computed, not measured: it uses DFT lattice parameters and positions (GGA-PBE) and CuKα.
Lines closer than 0.1° are merged.

The 12 most intense peaks (2θ from 10° to 90°), low angle first:
2θ 13.2, I = 12, hkl 1 1 0
2θ 29.8, I = 14, hkl 3 1 0
2θ 32.7, I = 40, hkl 2 2 2
2θ 35.5, I = 25, hkl 3 2 1
2θ 38.0, I = 15, hkl 4 0 0
2θ 40.4, I = 100, hkl 3 3 0
2θ 42.7, I = 15, hkl 4 2 0
2θ 52.9, I = 14, hkl 5 2 1
2θ 65.3, I = 18, hkl 6 2 2
2θ 68.6, I = 11, hkl 4 4 4
2θ 73.5, I = 23, hkl 6 3 3
2θ 82.8, I = 17, hkl 7 4 1

Crystal structure
Unit cell a=9.4727 b=9.4727 c=9.4727 alpha=90.00 beta=90.00 gamma=90.00
Space group Im-3m (No. 229)
Inequivalent atoms, fractional coordinates:
1 Dy 0.0000 0.0000 0.2869
2 Sb 0.2500 0.2500 0.2500
3 Rh 0.0000 0.3496 0.3496

# 4
Diffraction record for Pu3GaGe. The powder diffractogram is computed, not measured: it uses DFT lattice parameters and positions (GGA-PBE) and CuKα.
Lines closer than 0.1° are merged.

The 12 most intense peaks (2θ from 10° to 90°), low angle first:
2θ 23.3, I = 43, hkl 2 1 0
2θ 28.9, I = 22, hkl 2 2 0
2θ 29.1, I = 50, hkl 0 0 2
2θ 31.3, I = 89, hkl 1 3 0
2θ 33.4, I = 44, hkl 3 1 0
2θ 36.2, I = 41, hkl 2 0 2
2θ 36.9, I = 65, hkl 1 2 2
2θ 37.6, I = 100, hkl 3 2 0
2θ 43.3, I = 56, hkl 1 3 2
2θ 63.9, I = 30, hkl 5 1 2
2θ 67.9, I = 30, hkl 4 4 2
2θ 69.5, I = 19, hkl 1 3 4

Crystal structure
Unit cell a=8.4179 b=9.1027 c=6.1402 alpha=90.00 beta=90.00 gamma=90.00
Space group Pnnm (No. 58)
Inequivalent atoms, fractional coordinates:
1 Pu 0.0000 0.0000 0.2467
2 Pu 0.1065 0.3666 0.2483
3 Ga 0.2050 0.6460 0.0000
4 Ge 0.2043 0.6441 0.5000

# 5
Diffraction record for Re4Tc8Ru. The powder diffractogram is computed, not measured: it uses DFT lattice parameters and positions (GGA-PBE) and CuKα.
Lines closer than 0.1° are merged.

The 12 most intense peaks (2θ from 10° to 90°), low angle first:
2θ 21.0, I = 3, hkl 1 1 0
2θ 25.7, I = 38, hkl 1 1 1
2θ 33.4, I = 3, hkl 2 1 0
2θ 36.7, I = 1, hkl 2 1 1
2θ 42.7, I = 100, hkl 2 2 0
2θ 45.4, I = 1, hkl 3 0 0
2θ 50.5, I = 19, hkl 3 1 1
2θ 61.9, I = 16, hkl 4 0 0
2θ 64.1, I = 1, hkl 3 2 2
2θ 68.2, I = 8, hkl 3 3 1
2θ 78.1, I = 33, hkl 4 2 2
2θ 83.9, I = 6, hkl 5 1 1

Crystal structure
Unit cell a=5.9928 b=5.9928 c=5.9928 alpha=90.00 beta=90.00 gamma=90.00
Space group Pm-3m (No. 221)
Inequivalent atoms, fractional coordinates:
1 Re 0.0000 0.0000 0.0000
2 Re 0.0000 0.5000 0.5000
3 Tc 0.2417 0.2417 0.2417
4 Ru 0.5000 0.5000 0.5000

# 6
Diffraction record for Sm12TlIr6. The powder diffractogram is computed, not measured: it uses DFT lattice parameters and positions (GGA-PBE) and CuKα.
Lines closer than 0.1° are merged.

The 12 most intense peaks (2θ from 10° to 90°), low angle first:
2θ 17.4, I = 18, hkl 2 0 0
2θ 30.5, I = 25, hkl 2 2 2
2θ 33.0, I = 100, hkl 3 2 1
2θ 35.3, I = 15, hkl 4 0 0
2θ 37.5, I = 14, hkl 3 3 0
2θ 45.5, I = 37, hkl 5 1 0
2θ 52.5, I = 14, hkl 5 0 3
2θ 54.1, I = 15, hkl 6 0 0
2θ 55.7, I = 20, hkl 5 3 2
2θ 64.8, I = 17, hkl 5 4 3
2θ 80.1, I = 12, hkl 8 2 2
2θ 81.4, I = 16, hkl 7 5 0

Crystal structure
Unit cell a=10.1683 b=10.1683 c=10.1683 alpha=90.00 beta=90.00 gamma=90.00
Space group Im-3 (No. 204)
Inequivalent atoms, fractional coordinates:
1 Sm 0.0000 0.1917 0.3022
2 Tl 0.0000 0.0000 0.0000
3 Ir 0.0000 0.3759 0.5000

# 7
Diffraction record for Tl3Zn2AgCl8. The powder diffractogram is computed, not measured: it uses DFT lattice parameters and positions (GGA-PBE) and CuKα.
Lines closer than 0.1° are merged.

The 12 most intense peaks (2θ from 10° to 90°), low angle first:
2θ 17.2, I = 18, hkl 1 0 1
2θ 24.2, I = 60, hkl 0 1 2
2θ 24.5, I = 100, hkl 1 1 0
2θ 30.1, I = 24, hkl 0 2 1
2θ 31.6, I = 14, hkl 1 1 2
2θ 32.9, I = 20, hkl 1 0 3
2θ 34.7, I = 48, hkl 2 0 2
2θ 42.4, I = 16, hkl 1 0 4
2θ 43.0, I = 28, hkl 1 2 2
2θ 43.1, I = 23, hkl 3 0 0
2θ 50.2, I = 25, hkl 2 2 0
2θ 56.1, I = 14, hkl 2 1 4

Crystal structure
Unit cell a=7.2662 b=7.2662 c=9.0522 alpha=90.00 beta=90.00 gamma=120.00
Space group P-3m1 (No. 164)
Inequivalent atoms, fractional coordinates:
1 Tl 0.0000 0.0000 0.0000
2 Tl 0.3333 0.6667 0.6258
3 Zn 0.3333 0.6667 0.2019
4 Ag 0.0000 0.0000 0.5000
5 Cl 0.1659 0.3318 0.3045
6 Cl 0.3333 0.6667 0.9558

# 8
Diffraction record for CaTbPm4Se8. The powder diffractogram is computed, not measured: it uses DFT lattice parameters and positions (GGA-PBE) and CuKα.
Lines closer than 0.1° are merged.

The 12 most intense peaks (2θ from 10° to 90°), low angle first:
2θ 12.6, I = 46, hkl 1 0 1
2θ 20.6, I = 18, hkl 1 1 0
2θ 24.2, I = 80, hkl 1 1 3
2θ 24.3, I = 28, hkl 0 1 5
2θ 29.3, I = 100, hkl 0 2 4
2θ 38.4, I = 49, hkl 1 2 5
2θ 41.9, I = 68, hkl 2 2 0
2θ 42.0, I = 69, hkl 2 0 8
2θ 51.9, I = 19, hkl 4 0 4
2θ 58.1, I = 16, hkl 4 1 3
2θ 60.8, I = 22, hkl 0 4 8
2θ 76.6, I = 21, hkl 4 2 8

Crystal structure
Unit cell a=8.6327 b=8.6327 c=21.0272 alpha=90.00 beta=90.00 gamma=120.00
Space group R3m (No. 160, hexagonal axes)
Inequivalent atoms, fractional coordinates:
1 Ca 0.0000 0.0000 0.0000
2 Tb 0.0000 0.0000 0.3732
3 Pm 0.0000 0.0000 0.7511
4 Pm 0.0054 0.5027 0.8761
5 Se 0.0000 0.0000 0.1336
6 Se 0.0000 0.0000 0.6177
7 Se 0.0256 0.5128 0.1263
8 Se 0.1794 0.3589 0.9577

# 9
Diffraction record for Ga2SbPbSe6. The powder diffractogram is computed, not measured: it uses DFT lattice parameters and positions (GGA-PBE) and CuKα.
Lines closer than 0.1° are merged.

The 12 most intense peaks (2θ from 10° to 90°), low angle first:
2θ 10.5, I = 34, hkl 1 1 0
2θ 22.3, I = 71, hkl 3 1 0
2θ 24.6, I = 57, hkl 0 0 2
2θ 26.3, I = 53, hkl 2 2 1
2θ 26.7, I = 63, hkl 1 3 -1
2θ 28.6, I = 37, hkl 1 1 2
2θ 31.7, I = 100, hkl 4 0 -2
2θ 31.8, I = 50, hkl 3 3 -1
2θ 34.1, I = 54, hkl 0 4 1
2θ 35.6, I = 35, hkl 2 2 2
2θ 39.4, I = 60, hkl 2 2 -3
2θ 47.6, I = 37, hkl 5 3 1

Crystal structure
Unit cell a=13.2815 b=11.3041 c=7.5448 alpha=90.00 beta=106.42 gamma=90.00
Space group C2/c (No. 15)
Inequivalent atoms, fractional coordinates:
1 Ga 0.2000 0.0767 0.2203
2 Sb 0.0000 0.2410 0.7500
3 Pb 0.0000 0.3544 0.2500
4 Se 0.1051 0.4215 0.6465
5 Se 0.1209 0.0645 0.4741
6 Se 0.1677 0.2769 0.0903

# 10
Diffraction record for DySiTc2. The powder diffractogram is computed, not measured: it uses DFT lattice parameters and positions (GGA-PBE) and CuKα.
Lines closer than 0.1° are merged.

The 12 most intense peaks (2θ from 10° to 90°), low angle first:
2θ 25.9, I = 68, hkl 1 1 0
2θ 29.9, I = 27, hkl 1 1 1
2θ 33.3, I = 43, hkl 0 1 2
2θ 34.4, I = 83, hkl 0 2 1
2θ 36.2, I = 100, hkl 1 0 2
2θ 40.5, I = 63, hkl 1 2 1
2θ 42.3, I = 45, hkl 2 0 0
2θ 54.4, I = 32, hkl 1 3 1
2θ 54.8, I = 21, hkl 2 1 2
2θ 55.6, I = 41, hkl 2 2 1
2θ 59.8, I = 39, hkl 1 2 3
2θ 82.5, I = 16, hkl 2 3 3

Crystal structure
Unit cell a=4.2751 b=5.7733 c=6.0850 alpha=90.00 beta=90.00 gamma=90.00
Space group Pmmn (No. 59, origin choice 2)
Inequivalent atoms, fractional coordinates:
1 Dy 0.2500 0.2500 0.0954
2 Si 0.2500 0.7500 0.2563
3 Tc 0.2500 0.0369 0.5930

# 11
Diffraction record for Ce7Pu6Ge4. The powder diffractogram is computed, not measured: it uses DFT lattice parameters and positions (GGA-PBE) and CuKα.
Lines closer than 0.1° are merged.

The 12 most intense peaks (2θ from 10° to 90°), low angle first:
2θ 19.1, I = 24, hkl 2 0 0
2θ 30.5, I = 22, hkl 3 1 0
2θ 33.5, I = 100, hkl 2 2 2
2θ 38.8, I = 61, hkl 4 0 0
2θ 41.3, I = 17, hkl 3 3 0
2θ 45.9, I = 11, hkl 3 3 2
2θ 54.1, I = 10, hkl 5 2 1
2θ 56.1, I = 35, hkl 4 4 0
2θ 57.9, I = 8, hkl 4 3 3
2θ 66.9, I = 28, hkl 6 2 2
2θ 70.3, I = 10, hkl 4 4 4
2θ 75.2, I = 13, hkl 6 3 3

Crystal structure
Unit cell a=9.2798 b=9.2798 c=9.2798 alpha=90.00 beta=90.00 gamma=90.00
Space group Im-3m (No. 229)
Inequivalent atoms, fractional coordinates:
1 Ce 0.0000 0.0000 0.0000
2 Ce 0.0000 0.2500 0.5000
3 Pu 0.0000 0.0000 0.2898
4 Ge 0.2500 0.2500 0.2500